Computed X-ray powder pattern of Tb7DyEr3 for Cu Kα, 1.54184 Å, from DFT lattice parameters and positions (GGA-PBE).

Most intense lines, 2θ = 10–80°, low angle first:
(2 1 0), d 2.805, 2θ = 31.9°, rel. 100; (2 1 -2), d 2.797, 2θ = 32.0°, rel. 99; (2 0 1), d 2.782, 2θ = 32.2°, rel. 22; (2 0 -3), d 2.767, 2θ = 32.4°, rel. 22; (0 2 0), d 2.756, 2θ = 32.5°, rel. 69; (0 1 3), d 2.685, 2θ = 33.4°, rel. 72; (4 0 -2), d 1.736, 2θ = 52.7°, rel. 21; (2 3 0), d 1.600, 2θ = 57.6°, rel. 26; (0 3 3), d 1.577, 2θ = 58.5°, rel. 19; (4 2 -2), d 1.469, 2θ = 63.3°, rel. 24

Cell and atoms:
```
data_Tb7DyEr3
_symmetry_space_group_name_H-M 'P 1 2/m 1'
_symmetry_Int_Tables_number 10
_symmetry_space_group_name_Hall '-P 2y'
_cell_length_a 6.9465
_cell_length_b 5.5117
_cell_length_c 9.8377
_cell_angle_alpha 90.00
_cell_angle_beta 110.36
_cell_angle_gamma 90.00
loop_
_atom_site_label
_atom_site_fract_x
_atom_site_fract_y
_atom_site_fract_z
Tb1 0.0000 0.0000 0.0000
Tb2 0.1469 0.5000 0.2913
Tb3 0.3215 0.5000 0.6416
Tb4 0.4183 0.0000 0.8305
Dy1 0.0000 0.0000 0.5000
Er1 0.2787 0.5000 0.9988
Er2 0.5000 0.0000 0.5000
```



Computed X-ray powder pattern of TbDy2Er12 for Cu Kα, 1.54184 Å, from DFT lattice parameters and positions (GGA-PBE).

Most intense lines, 2θ = 10–80°, low angle first:
(1 0 4), d 2.940, 2θ = 30.4°, rel. 16; (0 0 8), d 2.890, 2θ = 30.9°, rel. 14; (0 1 7), d 2.845, 2θ = 31.4°, rel. 31; (0 2 0), d 2.801, 2θ = 32.0°, rel. 46; (1 1 -4), d 2.746, 2θ = 32.6°, rel. 100; (1 1 4), d 2.603, 2θ = 34.5°, rel. 25; (0 1 8), d 2.569, 2θ = 34.9°, rel. 18; (1 3 -4), d 1.606, 2θ = 57.4°, rel. 20; (1 2 -11), d 1.559, 2θ = 59.3°, rel. 13; (2 2 -1), d 1.510, 2θ = 61.4°, rel. 15

Cell and atoms:
```
data_TbDy2Er12
_symmetry_space_group_name_H-M 'P 1 2/m 1'
_symmetry_Int_Tables_number 10
_symmetry_space_group_name_Hall '-P 2y'
_cell_length_a 3.5848
_cell_length_b 5.6013
_cell_length_c 23.1912
_cell_angle_alpha 90.00
_cell_angle_beta 94.40
_cell_angle_gamma 90.00
loop_
_atom_site_label
_atom_site_fract_x
_atom_site_fract_y
_atom_site_fract_z
Tb1 0.0000 0.0000 0.0000
Dy1 0.1444 0.0000 0.2852
Er1 0.0998 0.5000 0.1931
Er2 0.2226 0.5000 0.4428
Er3 0.2859 0.0000 0.5745
Er4 0.3370 0.5000 0.6777
Er5 0.4252 0.0000 0.8529
Er6 0.4617 0.5000 0.9330
```



Computed X-ray powder pattern of TbDy4Er5 for Cu Kα, 1.54184 Å, from DFT lattice parameters and positions (GGA-PBE).

Most intense lines, 2θ = 10–80°, low angle first:
(-1 1 2), d 3.026, 2θ = 29.5°, rel. 36; (0 2 -3), d 2.827, 2θ = 31.6°, rel. 87; (0 0 5), d 2.743, 2θ = 32.6°, rel. 55; (0 2 2), d 2.732, 2θ = 32.8°, rel. 100; (1 1 0), d 2.724, 2θ = 32.9°, rel. 48; (1 -2 0), d 2.698, 2θ = 33.2°, rel. 19; (1 1 -5), d 2.065, 2θ = 43.8°, rel. 24; (1 1 5), d 1.822, 2θ = 50.1°, rel. 18; (0 4 -1), d 1.610, 2θ = 57.2°, rel. 23; (1 3 2), d 1.527, 2θ = 60.6°, rel. 15

Cell and atoms:
```
data_TbDy4Er5
_symmetry_space_group_name_H-M 'P -1'
_symmetry_Int_Tables_number 2
_symmetry_space_group_name_Hall '-P 1'
_cell_length_a 3.5244
_cell_length_b 6.6573
_cell_length_c 13.8914
_cell_angle_alpha 98.10
_cell_angle_beta 92.04
_cell_angle_gamma 104.48
loop_
_atom_site_label
_atom_site_fract_x
_atom_site_fract_y
_atom_site_fract_z
Tb1 0.0000 0.0000 0.0000
Dy1 0.1358 0.8155 0.2150
Dy2 0.1644 0.7193 0.8061
Er1 0.1994 0.8783 0.5837
Er2 0.4804 0.4233 0.6138
Er3 0.5000 0.5000 0.0000
```



Computed X-ray powder pattern of TbDy2Er4 for Cu Kα, 1.54184 Å, from DFT lattice parameters and positions (GGA-PBE).

Most intense lines, 2θ = 10–80°, low angle first:
(1 0 1), d 3.034, 2θ = 29.4°, rel. 39; (0 0 7), d 2.829, 2θ = 31.6°, rel. 50; (1 0 3), d 2.784, 2θ = 32.2°, rel. 100; (0 1 4), d 2.609, 2θ = 34.4°, rel. 85; (0 1 6), d 2.248, 2θ = 40.1°, rel. 17; (1 1 0), d 1.773, 2θ = 51.6°, rel. 38; (1 0 10), d 1.664, 2θ = 55.2°, rel. 21; (0 1 11), d 1.553, 2θ = 59.5°, rel. 18; (1 1 7), d 1.502, 2θ = 61.8°, rel. 44; (0 2 3), d 1.495, 2θ = 62.1°, rel. 15

Cell and atoms:
```
data_TbDy2Er4
_symmetry_space_group_name_H-M 'P 3 m 1'
_symmetry_Int_Tables_number 156
_symmetry_space_group_name_Hall 'P 3 -2"'
_cell_length_a 3.5452
_cell_length_b 3.5452
_cell_length_c 19.8032
_cell_angle_alpha 90.00
_cell_angle_beta 90.00
_cell_angle_gamma 120.00
loop_
_atom_site_label
_atom_site_fract_x
_atom_site_fract_y
_atom_site_fract_z
Tb1 0.0000 0.0000 0.0000
Dy1 0.0000 0.0000 0.4304
Dy2 0.0000 0.0000 0.7149
Er1 0.3333 0.6667 0.2868
Er2 0.3333 0.6667 0.5723
Er3 0.6667 0.3333 0.1443
Er4 0.6667 0.3333 0.8574
```